(1)
Calculated powder diffraction line list of Ce2Si6Ir for Cu Ka, from the PBE geometry in Alexandria.
Peak positions follow from Bragg's law for the DFT cell and can differ from measured ones.

Atomic structure:
Cell lengths 5.8346, 5.8346, 5.2086 Å; angles 90.00, 90.00, 120.00 degrees
Atoms (fractional coordinates):
Ce (0.3333, 0.6667, 0.1760)
Ce (0.6667, 0.3333, 0.8240)
Si (0.1817, 0.3634, 0.6787)
Si (0.1817, 0.8183, 0.6787)
Si (0.3634, 0.1817, 0.3213)
Si (0.6366, 0.8183, 0.6787)
Si (0.8183, 0.1817, 0.3213)
Si (0.8183, 0.6366, 0.3213)
Ir (0.0000, 0.0000, 0.0000)

Top 10 peaks for 10 to 90 degrees two-theta, in order of rising 2θ:
two_theta, Rel. int.
17.02, 43
24.55, 82
30.65, 100
35.26, 91
38.90, 79
39.65, 84
50.32, 33
60.07, 35
63.81, 27
73.75, 29

(2)
Calculated powder diffraction line list of BaY2F8 for Cu Ka, from the PBE geometry in Alexandria.
Peak positions follow from Bragg's law for the DFT cell and can differ from measured ones.

Atomic structure:
Cell lengths 7.8573, 7.8573, 7.8573 Å; angles 139.64, 139.64, 58.40 degrees
Atoms (fractional coordinates):
Ba (0.0000, 0.0000, 0.0000)
Y (0.3115, 0.3115, 0.0000)
Y (0.6885, 0.6885, 0.0000)
F (0.0136, 0.6008, 0.0000)
F (0.2097, 0.2097, 0.5895)
F (0.3797, 0.7903, 0.0000)
F (0.3992, 0.3992, 0.4127)
F (0.6008, 0.0136, 0.0000)
F (0.6203, 0.6203, 0.4105)
F (0.7903, 0.3797, 0.0000)
F (0.9864, 0.9864, 0.5873)

Top 10 peaks for 10 to 90 degrees two-theta, in order of rising 2θ:
two_theta, Rel. int.
23.20, 86
25.48, 100
35.11, 20
42.19, 64
46.23, 17
47.43, 20
52.35, 14
53.45, 14
54.61, 18
68.40, 13

(3)
Calculated powder diffraction line list of SrPrBN2 for Cu Ka, from the PBE geometry in Alexandria.
Peak positions follow from Bragg's law for the DFT cell and can differ from measured ones.

Atomic structure:
Cell lengths 5.2950, 5.3574, 7.0014 Å; angles 90.00, 90.00, 90.00 degrees
Atoms (fractional coordinates):
Sr (0.0000, 0.0000, 0.2500)
Sr (0.0000, 0.0000, 0.7500)
Pr (0.5000, 0.5000, 0.2500)
Pr (0.5000, 0.5000, 0.7500)
B (0.0000, 0.5000, 0.0000)
B (0.0000, 0.5000, 0.5000)
N (0.1964, 0.3351, 0.0000)
N (0.1964, 0.6649, 0.5000)
N (0.8036, 0.3351, 0.5000)
N (0.8036, 0.6649, 0.0000)

Top 10 peaks for 10 to 90 degrees two-theta, in order of rising 2θ:
two_theta, Rel. int.
23.62, 100
25.44, 33
33.45, 22
33.86, 20
35.00, 92
42.49, 25
42.83, 26
48.34, 19
55.41, 19
58.11, 17